Calculated X-ray powder pattern
Compound: LiCa2MgCd6
Radiation: Cu Kα, 1.54184 Å
Structure: a structure optimized by DFT (GGA-PBE)
Lines closer than 0.1° are merged.

Structure:
```
LiCa2MgCd6
1.0
5.0882 -5.1141 0.0000
5.0882 5.1141 0.0000
-5.0736 0.0000 5.1020
Li Ca Mg Cd
1 2 1 6
Direct
0.0000 0.0000 0.0000
0.2500 0.7500 0.5000
0.7500 0.2500 0.5000
0.5000 0.5000 0.0000
0.2379 0.2379 0.0002
0.2379 0.2379 0.4757
0.2379 0.7621 0.0000
0.7621 0.2379 0.0000
0.7621 0.7621 0.9998
0.7621 0.7621 0.5243
```

Top 10 peaks for 2θ = 5–70°, in order of rising 2θ:
2θ/deg	I_rel
17.38	17
30.35	100
35.14	39
35.28	19
50.58	32
50.75	6
60.06	19
60.22	12
63.07	6
63.20	6

=====

Calculated X-ray powder pattern
Compound: Cs5K2H
Radiation: Cu Kα, 1.54184 Å
Structure: a structure optimized by DFT (GGA-PBE)
Lines closer than 0.1° are merged.

Structure:
```
Cs5K2H
1.0
10.0164 0.0000 0.0000
0.0000 10.0164 0.0000
0.0000 0.0000 14.2475
Cs K H
10 4 2
Direct
0.0000 0.0000 0.0000
0.2251 0.2251 0.2476
0.2251 0.7749 0.2476
0.2749 0.2749 0.7476
0.2749 0.7251 0.7476
0.5000 0.5000 0.5000
0.7251 0.2749 0.7476
0.7251 0.7251 0.7476
0.7749 0.2251 0.2476
0.7749 0.7749 0.2476
0.0000 0.5000 0.4967
0.0000 0.5000 0.9967
0.5000 0.0000 0.4967
0.5000 0.0000 0.9967
0.0000 0.0000 0.2141
0.5000 0.5000 0.7141
```

Top 10 peaks for 2θ = 5–70°, in order of rising 2θ:
2θ/deg	I_rel
10.80	23
12.43	18
20.76	15
21.69	100
25.00	19
25.15	33
32.83	15
35.75	25
42.11	17
42.30	25